Record 1
This entry pairs a crystal structure of Ti4Sn2N with its theoretical X-ray diffraction stick pattern. Radiation: Cu Kα, 1.54184 Å. Structure: a GGA-PBE-relaxed structure.

Peak list (10 most intense, 2θ from 10° to 80°, by angle)
Position (°2θ)  d [Å]  I (rel.)
24.30  3.663  31
28.18  3.167  50
28.87  3.092  47
32.01  2.796  57
35.08  2.558  35
35.98  2.496  33
38.60  2.333  100
40.79  2.212  99
40.95  2.204  46
73.62  1.287  49

Crystal structure
```
Ti4Sn2N
1.0
7.327 0.000 0.000
0.000 10.233 0.000
0.000 0.000 3.167
Ti Sn N
8 4 2
Cartesian
0.944 1.832 0.000 Ti
1.196 9.517 1.583 Ti
2.468 4.401 1.583 Ti
2.720 6.948 0.000 Ti
4.607 3.285 0.000 Ti
4.859 5.832 1.583 Ti
6.131 0.715 1.583 Ti
6.383 8.401 0.000 Ti
0.418 6.547 1.583 Sn
3.245 1.430 1.583 Sn
4.082 8.802 1.583 Sn
6.909 3.686 1.583 Sn
0.000 0.000 0.000 N
3.663 5.116 0.000 N
```


Record 2
This entry pairs a crystal structure of Ni6GeH6 with its theoretical X-ray diffraction stick pattern. Radiation: Cu Kα, 1.54184 Å. Structure: a GGA-PBE-relaxed structure.

Peak list (10 most intense, 2θ from 10° to 80°, by angle)
Position (°2θ)  d [Å]  I (rel.)
24.65  3.611  11
24.90  3.575  47
35.33  2.541  27
43.40  2.085  100
45.60  1.989  33
50.69  1.801  40
58.85  1.569  15
64.78  1.439  12
69.23  1.357  18
79.65  1.204  15

Crystal structure
```
Ni6GeH6
1.0
4.170 0.000 0.000
-2.085 3.611 0.000
0.000 0.000 7.151
Ni Ge H
6 1 6
Cartesian
0.000 0.000 1.234 Ni
0.000 0.000 5.917 Ni
0.000 2.407 0.000 Ni
0.000 2.407 3.575 Ni
2.085 1.204 0.000 Ni
2.085 1.204 3.575 Ni
0.000 0.000 3.575 Ge
-1.042 1.805 1.136 H
-1.042 1.805 6.015 H
2.085 0.000 1.136 H
2.085 0.000 6.015 H
1.042 1.805 1.136 H
1.042 1.805 6.015 H
```


Record 3
This entry pairs a crystal structure of ThAl2GaNi4 with its theoretical X-ray diffraction stick pattern. Radiation: Cu Kα, 1.54184 Å. Structure: a GGA-PBE-relaxed structure.

Peak list (10 most intense, 2θ from 10° to 80°, by angle)
Position (°2θ)  d [Å]  I (rel.)
21.17  4.197  17
25.48  3.495  21
26.22  3.399  84
30.94  2.891  40
35.63  2.520  45
38.31  2.349  91
44.18  2.050  29
44.46  2.038  100
60.11  1.539  24
77.75  1.228  22

Crystal structure
```
ThAl2GaNi4
1.0
2.038 1.177 8.395
-2.038 1.177 8.395
0.000 -2.353 8.395
Th Al Ga Ni
1 2 1 4
Cartesian
0.000 0.000 0.000 Th
0.000 0.000 5.955 Al
0.000 0.000 19.229 Al
0.000 0.000 12.592 Ga
0.000 0.000 3.348 Ni
0.000 0.000 10.182 Ni
0.000 0.000 15.002 Ni
0.000 0.000 21.836 Ni
```


Record 4
This entry pairs a crystal structure of LaPr2Ho7 with its theoretical X-ray diffraction stick pattern. Radiation: Cu Kα, 1.54184 Å. Structure: a GGA-PBE-relaxed structure.

Peak list (10 most intense, 2θ from 10° to 80°, by angle)
Position (°2θ)  d [Å]  I (rel.)
30.52  2.929  100
30.61  2.921  33
35.41  2.535  67
50.88  1.795  24
51.02  1.790  24
60.49  1.530  19
60.60  1.528  29
60.68  1.526  9
63.59  1.463  8
74.93  1.267  8

Crystal structure
```
LaPr2Ho7
1.0
6.203 0.000 0.000
2.057 6.870 0.000
2.057 1.218 7.643
La Pr Ho
1 2 7
Cartesian
0.000 0.000 0.000 La
3.098 2.791 4.586 Pr
7.219 5.297 3.057 Pr
1.029 3.435 0.000 Ho
4.121 6.223 4.588 Ho
3.093 0.938 1.522 Ho
4.133 4.360 1.521 Ho
6.184 3.728 6.122 Ho
7.224 7.150 6.121 Ho
6.197 1.865 3.055 Ho
```